[1]
Structure and computed X-ray powder pattern of Zr6MnZn5 (a crystal structure in Alexandria, relaxed with PBE; Cu Kα X-rays).

Structural model:
a = 4.700 Å, b = 6.662 Å, c = 14.009 Å
α = 90.00°, β = 90.00°, γ = 90.00°
Space group Immm (No. 71)
One atom of each set of equivalent atoms:
Zr (0.000, 0.240, 0.000) x4
Zr (0.000, 0.257, 0.339) x8
Mn (0.000, 0.500, 0.500) x2
Zn (0.000, 0.000, 0.174) x4
Zn (0.000, 0.000, 0.500) x2
Zn (0.000, 0.500, 0.167) x4

Top 10 peaks for 2θ from 15° to 90°, sorted by position:
d_spacing	2θ/deg	intensity	h k l
3.312	26.92	2.4	1 0 3
2.349	38.32	100.0	2 0 0
2.335	38.56	19.3	0 0 6
1.666	55.14	6.6	0 4 0
1.656	55.48	12.9	2 0 6
1.359	69.13	6.4	2 4 0
1.356	69.28	19.1	3 2 3
1.351	69.61	12.0	1 2 9
1.175	82.05	9.7	4 0 0
1.167	82.66	1.8	0 0 12

---

[2]
Structure and computed X-ray powder pattern of Nd3HfSb4 (a crystal structure in Alexandria, relaxed with PBE; Cu Kα X-rays).

Structural model:
a = 8.839 Å, b = 12.460 Å, c = 4.409 Å
α = 90.00°, β = 90.00°, γ = 90.00°
Space group Cmmm (No. 65)
One atom of each set of equivalent atoms:
Nd (0.000, 0.000, 0.000) x2
Nd (0.250, 0.250, 0.500) x4
Hf (0.000, 0.500, 0.000) x2
Sb (0.000, 0.260, 0.000) x4
Sb (0.230, 0.500, 0.500) x4

Top 10 peaks for 2θ from 15° to 90°, sorted by position:
d_spacing	2θ/deg	intensity	h k l
3.119	28.62	100.0	2 0 1
2.206	40.91	62.3	2 4 1
2.204	40.94	12.9	0 0 2
1.801	50.69	26.5	0 4 2
1.561	59.20	8.2	4 0 2
1.397	66.97	5.3	6 0 1
1.394	67.12	27.8	2 0 3
1.275	74.41	7.7	6 4 1
1.273	74.57	16.5	2 4 3
1.102	88.74	6.6	0 0 4